This entry pairs a crystal structure of RbCa2Ta3O10 with its simulated powder XRD pattern. Radiation: Cu Kα. Structure: the PBE geometry in the Materials Project.
Kinematic intensities with the Lorentz-polarization factor, no thermal factor.

Atomic structure:
Cell lengths 3.9414, 3.9414, 15.3127 Å; angles 90.00, 90.00, 90.00 degrees
Atoms (fractional coordinates):
Rb  0.0000  0.0000  0.0000
Ca  0.0000  0.0000  0.3498
Ca  0.0000  0.0000  0.6502
Ta  0.5000  0.5000  0.2200
Ta  0.5000  0.5000  0.5000
Ta  0.5000  0.5000  0.7800
O  0.0000  0.5000  0.2474
O  0.0000  0.5000  0.5000
O  0.0000  0.5000  0.7526
O  0.5000  0.0000  0.2474
O  0.5000  0.0000  0.5000
O  0.5000  0.0000  0.7526
O  0.5000  0.5000  0.1026
O  0.5000  0.5000  0.3712
O  0.5000  0.5000  0.6288
O  0.5000  0.5000  0.8974

Peak list (10 most intense, 2θ from 5° to 70°, by intensity)
hkl 1 0 3, 2θ 28.6, I = 100; hkl 1 1 0, 2θ 32.1, I = 61; hkl 1 0 0, 2θ 22.6, I = 61; hkl 0 0 4, 2θ 23.3, I = 50; hkl 0 0 1, 2θ 5.8, I = 39; hkl 2 0 0, 2θ 46.1, I = 36; hkl 1 0 4, 2θ 32.6, I = 33; hkl 1 0 7, 2θ 47.5, I = 33; hkl 2 1 3, 2θ 55.1, I = 32; hkl 2 1 7, 2θ 68.3, I = 25